This entry pairs a crystal structure of Pr2SmAl7Cu2 with its simulated powder XRD pattern. Radiation: λ = 1.5418 Å (Cu Kα). Structure: a crystal structure in OQMD, relaxed with GGA-PBE.
Lines closer than 0.1° are merged.

Cell lengths 9.2116, 9.2116, 9.2116 Å; angles 35.31, 35.31, 35.31 degrees
Fractional positions:
Pr: 0.1415 0.1415 0.1415
Pr: 0.8585 0.8585 0.8585
Sm: 0.0000 0.0000 0.0000
Al: 0.0714 0.5797 0.5797
Al: 0.4203 0.4203 0.9286
Al: 0.4203 0.9286 0.4203
Al: 0.5000 0.5000 0.5000
Al: 0.5797 0.0714 0.5797
Al: 0.5797 0.5797 0.0714
Al: 0.9286 0.4203 0.4203
Cu: 0.3354 0.3354 0.3354
Cu: 0.6646 0.6646 0.6646

Most intense lines, 2θ = 10–80°, sorted by position:
2θ (°)  intensity
18.7  35
20.6  29
30.4  47
32.0  86
33.3  33
37.3  27
38.4  100
61.4  25
63.3  27
67.0  19